The following is a calculated X-ray powder pattern of Fe2NiS4. It was derived from a structure optimized by DFT (PBE), using a wavelength of 1.5418 Å.

Crystal structure
```
Fe2NiS4
1.0
6.600 0.000 0.000
0.000 6.600 0.000
0.000 0.000 9.259
Fe Ni S
8 4 16
Direct
0.000 0.232 0.000 Fe
0.000 0.768 0.500 Fe
0.232 0.000 0.750 Fe
0.263 0.263 0.375 Fe
0.263 0.737 0.125 Fe
0.737 0.263 0.625 Fe
0.737 0.737 0.875 Fe
0.768 0.000 0.250 Fe
0.237 0.500 0.750 Ni
0.500 0.237 0.000 Ni
0.500 0.763 0.500 Ni
0.763 0.500 0.250 Ni
0.002 0.245 0.246 S
0.002 0.755 0.254 S
0.242 0.477 0.995 S
0.242 0.523 0.505 S
0.245 0.002 0.504 S
0.245 0.998 0.996 S
0.477 0.242 0.755 S
0.477 0.758 0.745 S
0.523 0.242 0.245 S
0.523 0.758 0.255 S
0.755 0.002 0.496 S
0.755 0.998 0.004 S
0.758 0.477 0.005 S
0.758 0.523 0.495 S
0.998 0.245 0.754 S
0.998 0.755 0.746 S
```

Largest 6 diffraction maxima, sorted by position, 5° ≤ 2θ ≤ 70°:
Position (°2θ), d (Å), I_rel
31.82, 2.812, 100
32.01, 2.796, 50
38.58, 2.334, 52
50.84, 1.796, 32
55.71, 1.650, 40
55.95, 1.643, 82

***

The following is a calculated X-ray powder pattern of Dy3Er4Ir2Se2. It was derived from a structure optimized by DFT (PBE), using a wavelength of 1.5418 Å.

Crystal structure
```
Dy3Er4Ir2Se2
1.0
-1.942 7.578 4.578
1.942 -7.578 4.578
1.942 7.578 -4.578
Dy Er Ir Se
3 4 2 2
Direct
0.000 0.000 0.000 Dy
0.102 0.744 0.358 Dy
0.385 0.744 0.642 Dy
0.058 0.375 0.682 Er
0.463 0.588 0.876 Er
0.693 0.375 0.318 Er
0.712 0.588 0.124 Er
0.313 0.073 0.241 Ir
0.832 0.073 0.759 Ir
0.341 0.341 0.000 Se
0.742 0.242 0.500 Se
```

Largest 6 diffraction maxima, sorted by position, 5° ≤ 2θ ≤ 70°:
Position (°2θ), d (Å), I_rel
11.68, 7.578, 30
30.76, 2.907, 41
34.33, 2.612, 35
34.49, 2.601, 100
35.12, 2.555, 37
39.38, 2.288, 32

***

- What is the formula in the second record?
  Dy3Er4Ir2Se2

***

- Which formula does entry 2 have?
  Dy3Er4Ir2Se2

***

- What is the formula in the first record?
  Fe2NiS4